# 1
Simulated powder X-ray diffraction pattern of CsHo2Ni2 for copper Kα, from a DFT-relaxed cell (GGA-PBE, Alexandria).
Intensities are scaled so that the largest is 100.

Principal peaks in the range 10 to 90 degrees two-theta, in order of falling intensity:
39.86°, I 100; 25.83°, I 81; 32.88°, I 59; 26.92°, I 43; 35.34°, I 40; 29.83°, I 33; 25.36°, I 30; 44.87°, I 24

Cell and atoms:
abc: 4.0402 3.7544 10.1319
angles: 90.00 101.28 90.00
Atoms (fractional coordinates):
Cs 0.0000 0.0000 0.0000
Ho 0.3195 0.5000 0.6416
Ho 0.6805 0.5000 0.3584
Ni 0.2147 0.0000 0.4278
Ni 0.7853 0.0000 0.5722

# 2
Simulated powder X-ray diffraction pattern of CsHoOsO6 for copper Kα, from a DFT-relaxed cell (GGA-PBE, Alexandria).
Intensities are scaled so that the largest is 100.

Principal peaks in the range 10 to 90 degrees two-theta, in order of falling intensity:
22.71°, I 100; 42.31°, I 49; 31.69°, I 41; 13.55°, I 40; 51.37°, I 21; 39.34°, I 19; 27.30°, I 19; 66.12°, I 18

Cell and atoms:
abc: 5.6476 5.6476 6.5326
angles: 90.00 90.00 120.00
Atoms (fractional coordinates):
Cs 0.0000 0.0000 0.0000
Ho 0.6667 0.3333 0.5000
Os 0.3333 0.6667 0.5000
O 0.0471 0.4166 0.3320
O 0.0471 0.6305 0.6680
O 0.3695 0.4166 0.6680
O 0.3695 0.9529 0.3320
O 0.5834 0.6305 0.3320
O 0.5834 0.9529 0.6680

# 3
Simulated powder X-ray diffraction pattern of Cs4HoPa3O12 for copper Kα, from a DFT-relaxed cell (GGA-PBE, Alexandria).
Intensities are scaled so that the largest is 100.

Principal peaks in the range 10 to 90 degrees two-theta, in order of falling intensity:
28.21°, I 100; 49.93°, I 43; 40.32°, I 28; 80.29°, I 22; 66.04°, I 19; 58.34°, I 18; 19.85°, I 10; 73.30°, I 6

Cell and atoms:
abc: 7.7489 7.7489 7.7489
angles: 109.47 109.47 109.47
Atoms (fractional coordinates):
Cs 0.0000 0.0000 0.5000
Cs 0.0000 0.5000 0.0000
Cs 0.5000 0.0000 0.0000
Cs 0.5000 0.5000 0.5000
Ho 0.0000 0.0000 0.0000
Pa 0.0000 0.5000 0.5000
Pa 0.5000 0.0000 0.5000
Pa 0.5000 0.5000 0.0000
O 0.0000 0.2622 0.2622
O 0.0000 0.7378 0.7378
O 0.2500 0.5000 0.7500
O 0.2500 0.7500 0.5000
O 0.2622 0.0000 0.2622
O 0.2622 0.2622 0.0000
O 0.5000 0.2500 0.7500
O 0.5000 0.7500 0.2500
O 0.7378 0.0000 0.7378
O 0.7378 0.7378 0.0000
O 0.7500 0.2500 0.5000
O 0.7500 0.5000 0.2500

# 4
Simulated powder X-ray diffraction pattern of CsHoRe2O8 for copper Kα, from a DFT-relaxed cell (GGA-PBE, Alexandria).
Intensities are scaled so that the largest is 100.

Principal peaks in the range 10 to 90 degrees two-theta, in order of falling intensity:
19.93°, I 100; 27.10°, I 79; 29.51°, I 65; 40.50°, I 29; 50.90°, I 28; 52.83°, I 24; 47.11°, I 20; 36.19°, I 14

Cell and atoms:
abc: 6.0531 6.0531 8.4538
angles: 90.00 90.00 120.00
Atoms (fractional coordinates):
Cs 0.0000 0.0000 0.0000
Ho 0.0000 0.0000 0.5000
Re 0.3333 0.6667 0.7308
Re 0.6667 0.3333 0.2692
O 0.1699 0.3417 0.6587
O 0.1718 0.8301 0.6587
O 0.3333 0.6667 0.9398
O 0.3417 0.1718 0.3413
O 0.6583 0.8282 0.6587
O 0.6667 0.3333 0.0602
O 0.8282 0.1699 0.3413
O 0.8301 0.6583 0.3413

# 5
Simulated powder X-ray diffraction pattern of CsHo2Zr2O7 for copper Kα, from a DFT-relaxed cell (GGA-PBE, Alexandria).
Intensities are scaled so that the largest is 100.

Principal peaks in the range 10 to 90 degrees two-theta, in order of falling intensity:
29.98°, I 100; 41.17°, I 30; 39.88°, I 29; 38.82°, I 25; 57.67°, I 23; 24.89°, I 23; 31.18°, I 23; 19.13°, I 21

Cell and atoms:
abc: 9.7986 9.7986 9.7986
angles: 154.14 153.33 37.49
Atoms (fractional coordinates):
Cs 0.0000 0.0000 0.0000
Ho 0.2429 0.7429 0.5000
Ho 0.7571 0.2571 0.5000
Zr 0.3900 0.3900 0.0000
Zr 0.6100 0.6100 0.0000
O 0.1227 0.6227 0.5000
O 0.2675 0.2675 0.0000
O 0.3699 0.8699 0.5000
O 0.5000 0.5000 0.0000
O 0.6301 0.1301 0.5000
O 0.7325 0.7325 0.0000
O 0.8773 0.3773 0.5000

# 6
Simulated powder X-ray diffraction pattern of CsHoPbSe3 for copper Kα, from a DFT-relaxed cell (GGA-PBE, Alexandria).
Intensities are scaled so that the largest is 100.

Principal peaks in the range 10 to 90 degrees two-theta, in order of falling intensity:
29.36°, I 100; 10.57°, I 96; 25.62°, I 41; 29.53°, I 29; 42.10°, I 25; 42.55°, I 24; 33.23°, I 23; 22.20°, I 20

Cell and atoms:
abc: 9.2173 4.2490 12.0981
angles: 90.00 109.04 90.00
Atoms (fractional coordinates):
Cs 0.2072 0.2500 0.2398
Cs 0.7928 0.7500 0.7602
Ho 0.3708 0.7500 0.8575
Ho 0.6292 0.2500 0.1425
Pb 0.1591 0.2500 0.5771
Pb 0.8409 0.7500 0.4229
Se 0.1389 0.2500 0.8015
Se 0.3713 0.7500 0.6151
Se 0.4082 0.7500 0.0981
Se 0.5918 0.2500 0.9019
Se 0.6287 0.2500 0.3849
Se 0.8611 0.7500 0.1985

# 7
Simulated powder X-ray diffraction pattern of Cs2HoPu2Se6 for copper Kα, from a DFT-relaxed cell (GGA-PBE, Alexandria).
Intensities are scaled so that the largest is 100.

Principal peaks in the range 10 to 90 degrees two-theta, in order of falling intensity:
28.17°, I 100; 10.34°, I 63; 43.03°, I 45; 37.36°, I 33; 34.72°, I 21; 52.21°, I 18; 69.88°, I 15; 25.42°, I 14

Cell and atoms:
abc: 7.2844 7.2844 8.8837
angles: 97.78 97.78 119.99
Atoms (fractional coordinates):
Cs 0.1658 0.8342 0.0000
Cs 0.8342 0.1658 0.0000
Ho 0.0000 0.0000 0.5000
Pu 0.3335 0.6665 0.5000
Pu 0.6665 0.3335 0.5000
Se 0.0592 0.3938 0.6803
Se 0.2745 0.2745 0.3198
Se 0.3938 0.0592 0.6803
Se 0.6062 0.9408 0.3197
Se 0.7255 0.7255 0.6802
Se 0.9408 0.6062 0.3197

# 8
Simulated powder X-ray diffraction pattern of Cs3HoPu2Te6 for copper Kα, from a DFT-relaxed cell (GGA-PBE, Alexandria).
Intensities are scaled so that the largest is 100.

Principal peaks in the range 10 to 90 degrees two-theta, in order of falling intensity:
26.04°, I 100; 39.13°, I 38; 35.08°, I 33; 47.61°, I 19; 63.26°, I 17; 32.50°, I 14; 57.66°, I 11; 40.51°, I 10

Cell and atoms:
abc: 7.9745 7.9745 9.2836
angles: 98.24 98.24 120.00
Atoms (fractional coordinates):
Cs 0.0000 0.0000 0.0000
Cs 0.3327 0.6673 0.0000
Cs 0.6673 0.3327 0.0000
Ho 0.5000 0.5000 0.5000
Pu 0.1667 0.8333 0.5000
Pu 0.8333 0.1667 0.5000
Te 0.1077 0.4369 0.3109
Te 0.2338 0.2338 0.6893
Te 0.4369 0.1077 0.3109
Te 0.5631 0.8923 0.6891
Te 0.7662 0.7662 0.3107
Te 0.8923 0.5631 0.6891

# 9
Simulated powder X-ray diffraction pattern of CsHo2S3 for copper Kα, from a DFT-relaxed cell (GGA-PBE, Alexandria).
Intensities are scaled so that the largest is 100.

Principal peaks in the range 10 to 90 degrees two-theta, in order of falling intensity:
24.90°, I 100; 38.18°, I 56; 28.47°, I 54; 46.12°, I 29; 35.20°, I 24; 51.09°, I 24; 43.85°, I 22; 56.81°, I 21

Cell and atoms:
abc: 7.1514 7.1514 3.6357
angles: 90.00 90.00 120.00
Atoms (fractional coordinates):
Cs 0.0000 0.0000 0.0000
Ho 0.3333 0.6667 0.5000
Ho 0.6667 0.3333 0.5000
S 0.0000 0.5000 0.0000
S 0.5000 0.0000 0.0000
S 0.5000 0.5000 0.0000

# 10
Simulated powder X-ray diffraction pattern of Cs5HoS4 for copper Kα, from a DFT-relaxed cell (GGA-PBE, Alexandria).
Intensities are scaled so that the largest is 100.

Principal peaks in the range 10 to 90 degrees two-theta, in order of falling intensity:
27.92°, I 100; 23.92°, I 80; 26.89°, I 54; 23.09°, I 43; 24.36°, I 38; 39.95°, I 37; 38.33°, I 36; 47.52°, I 25

Cell and atoms:
abc: 10.5863 10.5863 9.1060
angles: 105.57 105.57 24.51
Atoms (fractional coordinates):
Cs 0.0000 0.0000 0.0000
Cs 0.3335 0.3335 0.6423
Cs 0.3411 0.3411 0.1524
Cs 0.6589 0.6589 0.8476
Cs 0.6665 0.6665 0.3577
Ho 0.0000 0.0000 0.5000
S 0.1406 0.1406 0.5921
S 0.4988 0.4988 0.7034
S 0.5012 0.5012 0.2966
S 0.8594 0.8594 0.4079

# 11
Simulated powder X-ray diffraction pattern of CsHoSiS4 for copper Kα, from a DFT-relaxed cell (GGA-PBE, Alexandria).
Intensities are scaled so that the largest is 100.

Principal peaks in the range 10 to 90 degrees two-theta, in order of falling intensity:
19.76°, I 100; 40.15°, I 67; 29.60°, I 66; 26.50°, I 59; 19.13°, I 50; 23.82°, I 46; 33.28°, I 45; 21.56°, I 44

Cell and atoms:
abc: 6.4079 6.7258 17.9719
angles: 90.00 90.00 90.00
Atoms (fractional coordinates):
Cs 0.0165 0.0057 0.4677
Cs 0.4835 0.9943 0.9677
Cs 0.5165 0.4943 0.5323
Cs 0.9835 0.5057 0.0323
Ho 0.2094 0.0226 0.7284
Ho 0.2906 0.9774 0.2284
Ho 0.7094 0.4774 0.2716
Ho 0.7906 0.5226 0.7716
Si 0.2093 0.5170 0.3299
Si 0.2907 0.4830 0.8299
Si 0.7093 0.9830 0.6701
Si 0.7907 0.0170 0.1701
S 0.0535 0.0115 0.0989
S 0.0666 0.2538 0.8511
S 0.1035 0.5792 0.2200
S 0.1044 0.7470 0.8408
S 0.3956 0.2530 0.3408
S 0.3965 0.4208 0.7200
S 0.4334 0.7462 0.3511
S 0.4465 0.9885 0.5989
S 0.5535 0.4885 0.9011
S 0.5666 0.2462 0.1489
S 0.6035 0.9208 0.7800
S 0.6044 0.7530 0.1592
S 0.8956 0.2470 0.6592
S 0.8965 0.0792 0.2800
S 0.9334 0.7538 0.6489
S 0.9465 0.5115 0.4011

# 12
Simulated powder X-ray diffraction pattern of Cs2Ho2SnS6 for copper Kα, from a DFT-relaxed cell (GGA-PBE, Alexandria).
Intensities are scaled so that the largest is 100.

Principal peaks in the range 10 to 90 degrees two-theta, in order of falling intensity:
29.87°, I 100; 27.00°, I 66; 10.66°, I 57; 29.59°, I 50; 21.42°, I 50; 39.04°, I 37; 45.84°, I 32; 55.68°, I 25

Cell and atoms:
abc: 6.8415 6.8415 8.6287
angles: 97.94 97.94 119.77
Atoms (fractional coordinates):
Cs 0.1697 0.8303 0.0000
Cs 0.8303 0.1697 0.0000
Ho 0.3325 0.6675 0.5000
Ho 0.6675 0.3325 0.5000
Sn 0.0000 0.0000 0.5000
S 0.0622 0.3815 0.6769
S 0.2557 0.2557 0.3256
S 0.3815 0.0622 0.6769
S 0.6185 0.9378 0.3231
S 0.7443 0.7443 0.6744
S 0.9378 0.6185 0.3231

# 13
Simulated powder X-ray diffraction pattern of Cs4HoTh3S8 for copper Kα, from a DFT-relaxed cell (GGA-PBE, Alexandria).
Intensities are scaled so that the largest is 100.

Principal peaks in the range 10 to 90 degrees two-theta, in order of falling intensity:
28.85°, I 100; 25.88°, I 61; 38.69°, I 40; 21.80°, I 35; 43.69°, I 33; 49.35°, I 25; 10.85°, I 21; 44.85°, I 20

Cell and atoms:
abc: 9.4524 9.4524 9.4524
angles: 52.00 52.00 52.00
Atoms (fractional coordinates):
Cs 0.0000 0.0000 0.0000
Cs 0.0000 0.5000 0.5000
Cs 0.5000 0.0000 0.5000
Cs 0.5000 0.5000 0.0000
Ho 0.5000 0.5000 0.5000
Th 0.0000 0.0000 0.5000
Th 0.0000 0.5000 0.0000
Th 0.5000 0.0000 0.0000
S 0.2308 0.2308 0.2308
S 0.2346 0.7260 0.7260
S 0.2740 0.2740 0.7654
S 0.2740 0.7654 0.2740
S 0.7260 0.2346 0.7260
S 0.7260 0.7260 0.2346
S 0.7654 0.2740 0.2740
S 0.7692 0.7692 0.7692